No. 1
Structure and simulated PXRD pattern of Cs3AgTe2 (a structure optimized by DFT (PBE); Cu Kα (λ = 1.5418 Å)).
No peak broadening, texture or thermal motion is included.

Crystal structure
a b c (Å): 9.2361 12.7667 12.0471
angles (deg): 90.00 110.30 90.00
Space group P2_1/c (No. 14)
One atom of each set of equivalent atoms:
Cs 0.2107 0.0182 0.3887 [4 per cell]
Cs 0.2432 0.0637 0.9754 [4 per cell]
Cs 0.2780 0.7246 0.1849 [4 per cell]
Ag 0.2234 0.1738 0.6764 [4 per cell]
Te 0.0213 0.7047 0.3709 [4 per cell]
Te 0.4583 0.0419 0.7295 [4 per cell]

Most intense lines, 2θ = 10–90°, low angle first:
hkl	2theta	d/Å	I (rel.)
1 2 0	17.24	5.145	40
2 0 -2	21.04	4.222	32
1 1 2	22.66	3.923	27
1 3 0	23.29	3.819	53
0 1 3	24.64	3.612	35
2 2 -2	25.32	3.517	58
1 2 2	25.73	3.463	100
1 0 -4	29.67	3.011	62
3 2 -2	32.69	2.740	38
3 2 0	34.11	2.628	34

No. 2
Structure and simulated PXRD pattern of Cs3AgTe4 (a structure optimized by DFT (PBE); Cu Kα (λ = 1.5418 Å)).
No peak broadening, texture or thermal motion is included.

Crystal structure
a b c (Å): 6.5633 12.2470 9.7854
angles (deg): 90.00 90.00 90.00
Space group Pmmn (No. 59, origin choice 2)
One atom of each set of equivalent atoms:
Cs 0.2500 0.0385 0.1872 [4 per cell]
Cs 0.2500 0.2500 0.5535 [2 per cell]
Ag 0.2500 0.7500 0.3028 [2 per cell]
Te 0.0317 0.2500 0.9195 [4 per cell]
Te 0.2500 0.6336 0.5635 [4 per cell]

Most intense lines, 2θ = 10–90°, low angle first:
hkl	2theta	d/Å	I (rel.)
0 2 0	14.46	6.124	55
1 0 2	22.67	3.923	52
0 2 2	23.27	3.822	46
0 3 1	23.61	3.768	100
0 0 3	27.31	3.266	47
2 0 1	28.69	3.111	62
1 0 3	30.60	2.921	91
1 3 2	31.63	2.829	77
2 2 1	32.27	2.774	85
2 5 2	50.07	1.822	49

No. 3
Structure and simulated PXRD pattern of CsAgTe5 (a structure optimized by DFT (PBE); Cu Kα (λ = 1.5418 Å)).
No peak broadening, texture or thermal motion is included.

Crystal structure
a b c (Å): 7.6696 17.0956 9.2944
angles (deg): 90.00 101.44 90.00
Space group C2/c (No. 15)
One atom of each set of equivalent atoms:
Cs 0.0000 0.0068 0.2500 [4 per cell]
Ag 0.0000 0.5000 0.0000 [4 per cell]
Te 0.0000 0.4204 0.7500 [4 per cell]
Te 0.1437 0.1769 0.0177 [8 per cell]
Te 0.1970 0.2124 0.6209 [8 per cell]

Most intense lines, 2θ = 10–90°, low angle first:
hkl	2theta	d/Å	I (rel.)
1 3 0	19.54	4.543	15
0 4 0	20.78	4.274	18
0 2 2	22.11	4.020	14
0 4 1	22.98	3.869	14
1 3 -2	25.95	3.434	100
1 5 0	28.68	3.112	12
2 2 1	29.37	3.041	16
1 5 2	36.26	2.477	19
1 7 -2	42.59	2.123	14
3 5 -2	46.13	1.968	13

No. 4
Structure and simulated PXRD pattern of Cs3AgTe (a structure optimized by DFT (PBE); Cu Kα (λ = 1.5418 Å)).
No peak broadening, texture or thermal motion is included.

Crystal structure
a b c (Å): 9.8974 5.5750 10.1988
angles (deg): 90.00 115.23 90.00
Space group P2_1 (No. 4)
One atom of each set of equivalent atoms:
Cs 0.0670 0.9997 0.2032 [2 per cell]
Cs 0.3241 0.9991 0.9189 [2 per cell]
Cs 0.3693 0.5000 0.5794 [2 per cell]
Ag 0.0361 0.0047 0.5418 [2 per cell]
Te 0.3306 0.4990 0.1760 [2 per cell]

Most intense lines, 2θ = 10–90°, low angle first:
hkl	2theta	d/Å	I (rel.)
1 1 1	22.97	3.871	52
1 1 -2	23.71	3.753	44
2 1 -1	24.07	3.697	78
2 1 0	25.53	3.489	70
1 0 -3	26.37	3.380	100
3 0 0	29.94	2.984	98
1 1 -3	30.90	2.894	25
3 0 -3	31.67	2.825	45
0 2 0	32.11	2.788	68
3 2 0	44.47	2.037	36

No. 5
Structure and simulated PXRD pattern of Cs4Ag5Te6 (a structure optimized by DFT (PBE); Cu Kα (λ = 1.5418 Å)).
No peak broadening, texture or thermal motion is included.

Crystal structure
a b c (Å): 4.9648 21.3497 20.7970
angles (deg): 90.00 90.00 90.00
Space group Cmc2_1 (No. 36)
One atom of each set of equivalent atoms:
Cs 0.0000 0.0047 0.0000 [4 per cell]
Cs 0.0000 0.0046 0.2546 [4 per cell]
Cs 0.0000 0.1859 0.3080 [4 per cell]
Cs 0.0000 0.1860 0.9470 [4 per cell]
Ag 0.0000 0.1256 0.6273 [4 per cell]
Ag 0.0000 0.2706 0.6272 [4 per cell]
Ag 0.0000 0.3679 0.0117 [4 per cell]
Ag 0.0000 0.3677 0.2426 [4 per cell]
Ag 0.0000 0.4152 0.6273 [4 per cell]
Te 0.0000 0.1471 0.1274 [4 per cell]
Te 0.0000 0.1965 0.5097 [4 per cell]
Te 0.0000 0.1967 0.7448 [4 per cell]
Te 0.0000 0.4342 0.3680 [4 per cell]
Te 0.0000 0.4345 0.8865 [4 per cell]
Te 0.0000 0.4510 0.1272 [4 per cell]

Most intense lines, 2θ = 10–90°, low angle first:
hkl	2theta	d/Å	I (rel.)
1 1 4	25.15	3.541	77
0 4 5	27.18	3.281	58
1 5 0	27.55	3.237	100
1 3 4	27.84	3.205	64
0 6 4	30.44	2.936	56
1 5 4	32.58	2.748	56
0 0 8	34.50	2.599	68
2 0 0	36.19	2.482	98
1 7 4	38.74	2.325	64
1 7 5	40.95	2.204	48

No. 6
Structure and simulated PXRD pattern of Cs2U2AgTe6 (a structure optimized by DFT (PBE); Cu Kα (λ = 1.5418 Å)).
No peak broadening, texture or thermal motion is included.

Crystal structure
a b c (Å): 7.7361 13.0904 9.4324
angles (deg): 90.00 104.85 90.00
Space group C2/m (No. 12)
One atom of each set of equivalent atoms:
Cs 0.0000 0.1640 0.0000 [4 per cell]
U 0.0000 0.3318 0.5000 [4 per cell]
Ag 0.0000 0.0000 0.5000 [2 per cell]
Te 0.2035 0.5000 0.6914 [4 per cell]
Te 0.2310 0.1683 0.6848 [8 per cell]

Most intense lines, 2θ = 10–90°, low angle first:
hkl	2theta	d/Å	I (rel.)
1 1 -1	14.88	5.952	8
2 0 -2	26.72	3.337	100
1 3 2	32.73	2.736	16
2 0 2	34.71	2.584	10
1 3 -3	35.47	2.531	23
3 3 -1	40.65	2.219	26
0 6 0	41.39	2.182	12
1 3 -4	43.67	2.073	9
2 6 -2	49.94	1.826	15
1 9 1	66.85	1.400	9

No. 7
Structure and simulated PXRD pattern of CsTi2Ag2 (a structure optimized by DFT (PBE); Cu Kα (λ = 1.5418 Å)).
No peak broadening, texture or thermal motion is included.

Crystal structure
a b c (Å): 3.8205 3.8205 18.6858
angles (deg): 90.00 90.00 90.00
Space group I4/mmm (No. 139)
One atom of each set of equivalent atoms:
Cs 0.0000 0.0000 0.0000 [2 per cell]
Ti 0.0000 0.5000 0.2500 [4 per cell]
Ag 0.0000 0.0000 0.3606 [4 per cell]

Most intense lines, 2θ = 10–90°, low angle first:
hkl	2theta	d/Å	I (rel.)
1 0 3	27.39	3.257	100
1 1 0	33.16	2.701	19
1 0 5	33.54	2.672	23
1 1 2	34.56	2.595	17
0 0 8	38.52	2.337	26
1 1 6	44.39	2.041	28
2 0 0	47.60	1.910	20
2 1 3	55.79	1.648	26
1 0 11	59.53	1.553	21
2 0 8	62.85	1.479	13

No. 8
Structure and simulated PXRD pattern of Cs2TlAg2 (a structure optimized by DFT (PBE); Cu Kα (λ = 1.5418 Å)).
No peak broadening, texture or thermal motion is included.

Crystal structure
a b c (Å): 12.0556 7.3926 9.1204
angles (deg): 90.00 103.20 90.00
Space group C2/c (No. 15)
One atom of each set of equivalent atoms:
Cs 0.1438 0.1369 0.1311 [8 per cell]
Tl 0.0000 0.4053 0.7500 [4 per cell]
Ag 0.1431 0.3569 0.5005 [8 per cell]

Most intense lines, 2θ = 10–90°, low angle first:
hkl	2theta	d/Å	I (rel.)
1 1 0	14.16	6.255	49
1 1 -2	23.11	3.848	30
3 1 -1	25.72	3.463	50
0 2 1	26.11	3.412	78
2 0 2	27.83	3.206	59
3 1 -2	29.36	3.042	58
2 2 1	31.46	2.843	100
1 1 -3	31.84	2.811	66
4 0 -2	32.51	2.754	40
6 2 -1	51.79	1.765	31

No. 9
Structure and simulated PXRD pattern of Cs3Tl2Ag2 (a structure optimized by DFT (PBE); Cu Kα (λ = 1.5418 Å)).
No peak broadening, texture or thermal motion is included.

Crystal structure
a b c (Å): 7.5217 10.1520 16.3466
angles (deg): 90.00 90.00 90.00
Space group Pbcm (No. 57)
One atom of each set of equivalent atoms:
Cs 0.0973 0.1369 0.1091 [8 per cell]
Cs 0.3571 0.7239 0.7500 [4 per cell]
Tl 0.4007 0.0135 0.5846 [8 per cell]
Ag 0.2138 0.0668 0.7500 [4 per cell]
Ag 0.4342 0.7500 0.0000 [4 per cell]

Most intense lines, 2θ = 10–90°, low angle first:
hkl	2theta	d/Å	I (rel.)
1 0 0	11.77	7.522	46
1 1 1	15.63	5.669	27
2 1 0	25.25	3.527	34
1 3 0	28.93	3.086	24
1 3 1	29.45	3.032	24
2 1 3	30.19	2.961	100
1 2 4	30.49	2.932	45
0 0 6	32.87	2.724	27
1 4 0	37.42	2.404	54
3 3 3	48.16	1.890	25

No. 10
Structure and simulated PXRD pattern of Cs4Tl5Ag (a structure optimized by DFT (PBE); Cu Kα (λ = 1.5418 Å)).
No peak broadening, texture or thermal motion is included.

Crystal structure
a b c (Å): 11.3379 11.3379 7.3550
angles (deg): 90.00 90.00 90.00
Space group I4 (No. 79)
One atom of each set of equivalent atoms:
Cs 0.0009 0.7006 0.0000 [8 per cell]
Tl 0.0000 0.0000 0.7899 [2 per cell]
Tl 0.1400 0.8592 0.4765 [8 per cell]
Ag 0.0000 0.0000 0.1865 [2 per cell]

Most intense lines, 2θ = 10–90°, low angle first:
hkl	2theta	d/Å	I (rel.)
1 1 0	11.04	8.017	50
1 0 1	14.35	6.170	13
0 0 2	24.20	3.677	22
3 0 1	26.52	3.361	100
2 2 2	33.06	2.710	15
3 3 0	33.53	2.672	31
1 4 1	34.83	2.576	21
1 3 2	34.95	2.567	19
1 5 2	47.80	1.903	14
7 4 1	67.86	1.381	17

No. 11
Structure and simulated PXRD pattern of Cs2Tl4Ag (a structure optimized by DFT (PBE); Cu Kα (λ = 1.5418 Å)).
No peak broadening, texture or thermal motion is included.

Crystal structure
a b c (Å): 5.6004 5.6004 20.4621
angles (deg): 90.00 90.00 90.00
Space group I4/mmm (No. 139)
One atom of each set of equivalent atoms:
Cs 0.0000 0.0000 0.1602 [4 per cell]
Tl 0.0000 0.0000 0.3615 [4 per cell]
Tl 0.0000 0.5000 0.0000 [4 per cell]
Ag 0.0000 0.0000 0.5000 [2 per cell]

Most intense lines, 2θ = 10–90°, low angle first:
hkl	2theta	d/Å	I (rel.)
1 0 1	16.41	5.402	29
1 1 2	24.10	3.693	48
0 0 6	26.13	3.410	42
1 1 4	28.50	3.131	100
2 0 0	31.96	2.800	75
2 0 6	41.74	2.164	48
2 2 0	45.83	1.980	28
2 0 8	48.19	1.889	21
2 2 6	53.51	1.712	23
3 1 4	54.86	1.674	33

No. 12
Structure and simulated PXRD pattern of CsTl3Ag (a structure optimized by DFT (PBE); Cu Kα (λ = 1.5418 Å)).
No peak broadening, texture or thermal motion is included.

Crystal structure
a b c (Å): 9.5503 7.4148 10.3136
angles (deg): 90.00 104.55 90.00
Space group P2_1/c (No. 14)
One atom of each set of equivalent atoms:
Cs 0.1392 0.0796 0.2080 [4 per cell]
Tl 0.1554 0.6060 0.0645 [4 per cell]
Tl 0.3220 0.5527 0.3817 [4 per cell]
Tl 0.4129 0.1564 0.5684 [4 per cell]
Ag 0.4528 0.7332 0.6540 [4 per cell]

Most intense lines, 2θ = 10–90°, low angle first:
hkl	2theta	d/Å	I (rel.)
1 1 -1	16.46	5.385	28
2 1 -2	25.68	3.468	34
2 1 1	26.12	3.412	33
1 1 -3	28.77	3.103	49
0 1 3	29.43	3.035	35
2 2 -1	30.81	2.902	100
1 1 3	33.10	2.706	36
1 0 -4	34.77	2.580	24
1 1 -4	36.92	2.435	33
4 0 -2	38.60	2.332	33